# 1
This entry pairs a crystal structure of Ba3YF9 with its calculated powder diffraction line list. Radiation: Cu Ka. Structure: DFT lattice parameters and positions (PBE).
Neutral-atom scattering factors, no anomalous dispersion.

Most intense lines, 2θ from 10° to 90°, by angle:
two_theta, I_rel
23.29, 100
23.94, 78
24.11, 25
25.28, 31
28.28, 67
29.34, 38
38.33, 34
41.22, 29
42.12, 30
46.84, 22

Structure:
```
data_Ba3YF9
_symmetry_space_group_name_H-M 'P n m a'
_symmetry_Int_Tables_number 62
_cell_length_a 10.318
_cell_length_b 6.089
_cell_length_c 15.813
_cell_angle_alpha 90.00
_cell_angle_beta 90.00
_cell_angle_gamma 90.00
loop_
_symmetry_equiv_pos_as_xyz
'x,y,z'
'-x,-y,-z'
'-x+1/2,-y,z+1/2'
'x+1/2,y,-z+1/2'
'x+1/2,-y+1/2,-z+1/2'
'-x+1/2,y+1/2,z+1/2'
'-x,y+1/2,-z'
'x,-y+1/2,z'
loop_
_atom_site_label
_atom_site_fract_x
_atom_site_fract_y
_atom_site_fract_z
Ba1 0.054 0.250 0.091
Ba2 0.166 0.250 0.527
Ba3 0.242 0.750 0.328
Y1 0.038 0.750 0.683
F1 0.045 0.504 0.404
F2 0.071 0.508 0.780
F3 0.145 0.503 0.963
F4 0.158 0.250 0.263
F5 0.189 0.750 0.588
F6 0.211 0.750 0.163
```


# 2
This entry pairs a crystal structure of Ba2PdO2F2 with its calculated powder diffraction line list. Radiation: Cu Ka. Structure: DFT lattice parameters and positions (PBE).
Neutral-atom scattering factors, no anomalous dispersion.

Most intense lines, 2θ from 10° to 90°, by angle:
two_theta, I_rel
28.31, 100
29.91, 36
38.16, 22
39.41, 18
42.82, 29
49.08, 9
52.12, 36
58.68, 12
62.16, 9
69.09, 11

Structure:
```
data_Ba2PdO2F2
_symmetry_space_group_name_H-M 'I 4/m m m'
_symmetry_Int_Tables_number 139
_symmetry_space_group_name_Hall '-I 4 2'
_cell_length_a 4.224
_cell_length_b 4.224
_cell_length_c 14.213
_cell_angle_alpha 90.00
_cell_angle_beta 90.00
_cell_angle_gamma 90.00
loop_
_atom_site_label
_atom_site_fract_x
_atom_site_fract_y
_atom_site_fract_z
Ba1 0.000 0.000 0.135
Pd1 0.000 0.000 0.500
O1 0.000 0.500 0.000
F1 0.000 0.500 0.250
```


Please write out number 2 again, unchanged.
This entry pairs a crystal structure of Ba2PdO2F2 with its calculated powder diffraction line list. Radiation: Cu Ka. Structure: DFT lattice parameters and positions (PBE).
Neutral-atom scattering factors, no anomalous dispersion.

Most intense lines, 2θ from 10° to 90°, by angle:
two_theta, I_rel
28.31, 100
29.91, 36
38.16, 22
39.41, 18
42.82, 29
49.08, 9
52.12, 36
58.68, 12
62.16, 9
69.09, 11

Structure:
```
data_Ba2PdO2F2
_symmetry_space_group_name_H-M 'I 4/m m m'
_symmetry_Int_Tables_number 139
_symmetry_space_group_name_Hall '-I 4 2'
_cell_length_a 4.224
_cell_length_b 4.224
_cell_length_c 14.213
_cell_angle_alpha 90.00
_cell_angle_beta 90.00
_cell_angle_gamma 90.00
loop_
_atom_site_label
_atom_site_fract_x
_atom_site_fract_y
_atom_site_fract_z
Ba1 0.000 0.000 0.135
Pd1 0.000 0.000 0.500
O1 0.000 0.500 0.000
F1 0.000 0.500 0.250
```